1.
This entry pairs a crystal structure of Ac3Ga2Au4 with its theoretical powder diffraction line list. Radiation: Cu Kα, 1.54184 Å. Structure: a GGA-PBE-relaxed structure.
Peak positions follow from Bragg's law for the DFT cell and can differ from measured ones.

The 6 most intense peaks (2θ from 15° to 90°), by intensity:
31.05°, I = 100; 37.83°, I = 78; 31.18°, I = 72; 60.36°, I = 42; 38.23°, I = 41; 30.78°, I = 33

Crystal structure
a = 6.2692 Å, b = 6.2692 Å, c = 9.1659 Å
α = 108.26°, β = 108.26°, γ = 44.11°
Positions (direct):
Ac (0.0000, 0.0000, 0.0000)
Ac (0.3424, 0.3424, 0.3258)
Ac (0.6576, 0.6576, 0.6742)
Ga (0.3770, 0.3770, 0.7050)
Ga (0.6230, 0.6230, 0.2950)
Au (0.0702, 0.0702, 0.3914)
Au (0.2872, 0.2872, 0.9356)
Au (0.7128, 0.7128, 0.0644)
Au (0.9298, 0.9298, 0.6086)

---

2.
This entry pairs a crystal structure of AcGaAu3 with its theoretical powder diffraction line list. Radiation: Cu Kα, 1.54184 Å. Structure: a GGA-PBE-relaxed structure.
Peak positions follow from Bragg's law for the DFT cell and can differ from measured ones.

The 6 most intense peaks (2θ from 15° to 90°), by intensity:
34.14°, I = 100; 30.71°, I = 28; 43.74°, I = 25; 56.82°, I = 24; 53.98°, I = 17; 30.38°, I = 15

Crystal structure
a = 6.7942 Å, b = 6.7942 Å, c = 5.8236 Å
α = 90.00°, β = 90.00°, γ = 120.00°
Positions (direct):
Ac (0.3333, 0.6667, 0.2500)
Ac (0.6667, 0.3333, 0.7500)
Ga (0.0000, 0.0000, 0.0000)
Ga (0.0000, 0.0000, 0.5000)
Au (0.1923, 0.3846, 0.7500)
Au (0.1923, 0.8077, 0.7500)
Au (0.3846, 0.1923, 0.2500)
Au (0.6154, 0.8077, 0.7500)
Au (0.8077, 0.1923, 0.2500)
Au (0.8077, 0.6154, 0.2500)

---

3.
This entry pairs a crystal structure of Ac3GaAu3 with its theoretical powder diffraction line list. Radiation: Cu Kα, 1.54184 Å. Structure: a GGA-PBE-relaxed structure.
Peak positions follow from Bragg's law for the DFT cell and can differ from measured ones.

The 6 most intense peaks (2θ from 15° to 90°), by intensity:
29.80°, I = 100; 33.42°, I = 49; 30.29°, I = 45; 35.81°, I = 41; 38.28°, I = 35; 38.80°, I = 27

Crystal structure
a = 10.8406 Å, b = 10.8406 Å, c = 10.8406 Å
α = 157.67°, β = 154.94°, γ = 33.81°
Positions (direct):
Ac (0.0000, 0.0000, 0.0000)
Ac (0.3648, 0.3648, 0.0000)
Ac (0.6801, 0.1801, 0.5000)
Ga (0.2465, 0.7465, 0.5000)
Au (0.1202, 0.6202, 0.5000)
Au (0.5308, 0.5308, 0.0000)
Au (0.8193, 0.8193, 0.0000)

---

4.
This entry pairs a crystal structure of Ac2Ga3Au with its theoretical powder diffraction line list. Radiation: Cu Kα, 1.54184 Å. Structure: a GGA-PBE-relaxed structure.
Peak positions follow from Bragg's law for the DFT cell and can differ from measured ones.

The 6 most intense peaks (2θ from 15° to 90°), by intensity:
30.37°, I = 100; 39.76°, I = 29; 58.12°, I = 28; 50.77°, I = 16; 66.41°, I = 15; 39.66°, I = 14

Crystal structure
a = 9.0674 Å, b = 9.0162 Å, c = 6.3560 Å
α = 69.86°, β = 68.99°, γ = 41.15°
Positions (direct):
Ac (0.2364, 0.7636, 0.7636)
Ac (0.2500, 0.2500, 0.2500)
Ac (0.7500, 0.7500, 0.7500)
Ac (0.7636, 0.2364, 0.2364)
Ga (0.1765, 0.6606, 0.3394)
Ga (0.3381, 0.3381, 0.6619)
Ga (0.3394, 0.8235, 0.1765)
Ga (0.6606, 0.1765, 0.8235)
Ga (0.6619, 0.6619, 0.3381)
Ga (0.8235, 0.3394, 0.6606)
Au (0.1683, 0.1683, 0.8317)
Au (0.8317, 0.8317, 0.1683)

---

5.
This entry pairs a crystal structure of AcGaAu3 with its theoretical powder diffraction line list. Radiation: Cu Kα, 1.54184 Å. Structure: a GGA-PBE-relaxed structure.
Peak positions follow from Bragg's law for the DFT cell and can differ from measured ones.

The 6 most intense peaks (2θ from 15° to 90°), by intensity:
31.86°, I = 100; 37.26°, I = 73; 32.62°, I = 28; 31.55°, I = 28; 63.81°, I = 19; 32.86°, I = 15

Crystal structure
a = 4.8249 Å, b = 4.8295 Å, c = 6.0127 Å
α = 66.56°, β = 66.59°, γ = 89.64°
Positions (direct):
Ac (0.0000, 0.0000, 0.0000)
Ga (0.3335, 0.3306, 0.2917)
Au (0.2737, 0.7376, 0.4823)
Au (0.6199, 0.6217, 0.7920)
Au (0.7400, 0.2752, 0.4829)

---

6.
This entry pairs a crystal structure of Ac4Ga2Au5 with its theoretical powder diffraction line list. Radiation: Cu Kα, 1.54184 Å. Structure: a GGA-PBE-relaxed structure.
Peak positions follow from Bragg's law for the DFT cell and can differ from measured ones.

The 6 most intense peaks (2θ from 15° to 90°), by intensity:
30.71°, I = 100; 31.12°, I = 58; 31.73°, I = 51; 37.84°, I = 36; 43.79°, I = 29; 39.37°, I = 24

Crystal structure
a = 8.0150 Å, b = 4.1348 Å, c = 9.1767 Å
α = 90.00°, β = 94.07°, γ = 90.00°
Positions (direct):
Ac (0.2214, 0.0000, 0.3579)
Ac (0.2685, 0.0000, 0.8696)
Ac (0.7315, 0.0000, 0.1304)
Ac (0.7786, 0.0000, 0.6421)
Ga (0.4352, 0.5000, 0.6187)
Ga (0.5648, 0.5000, 0.3813)
Au (0.0000, 0.5000, 0.0000)
Au (0.1076, 0.5000, 0.6293)
Au (0.3866, 0.5000, 0.1268)
Au (0.6134, 0.5000, 0.8732)
Au (0.8924, 0.5000, 0.3707)